Record 1
Diffraction record for Dy2HfFe9. The XRD peak list is simulated, not measured: it uses a structure optimized by DFT (PBE) and Cu Ka.
Intensities are scaled so that the largest is 100.

Peak list (10 most intense, 2θ from 5° to 70°, most intense first)
42.5 deg, 2.127 Å, rel. 100
34.6 deg, 2.595 Å, rel. 82
36.0 deg, 2.497 Å, rel. 58
42.2 deg, 2.144 Å, rel. 37
63.7 deg, 1.460 Å, rel. 28
69.1 deg, 1.359 Å, rel. 22
67.7 deg, 1.385 Å, rel. 20
45.2 deg, 2.008 Å, rel. 15
41.8 deg, 2.163 Å, rel. 14
30.2 deg, 2.958 Å, rel. 13

Atomic structure:
a b c (Å): 4.9949 4.9949 16.2210
angles (deg): 90.00 90.00 120.00
Element x y z (fractional)
Dy: 0.3333 0.6667 0.0385
Dy: 0.3333 0.6667 0.4615
Dy: 0.6667 0.3333 0.5385
Dy: 0.6667 0.3333 0.9615
Hf: 0.3333 0.6667 0.2500
Hf: 0.6667 0.3333 0.7500
Fe: 0.0000 0.0000 0.0000
Fe: 0.0000 0.0000 0.2500
Fe: 0.0000 0.0000 0.5000
Fe: 0.0000 0.0000 0.7500
Fe: 0.1667 0.3335 0.6296
Fe: 0.1667 0.3335 0.8704
Fe: 0.1667 0.8333 0.6296
Fe: 0.1667 0.8333 0.8704
Fe: 0.3335 0.1667 0.1296
Fe: 0.3335 0.1667 0.3704
Fe: 0.3333 0.6667 0.7500
Fe: 0.6667 0.3333 0.2500
Fe: 0.6665 0.8333 0.6296
Fe: 0.6665 0.8333 0.8704
Fe: 0.8333 0.1667 0.1296
Fe: 0.8333 0.1667 0.3704
Fe: 0.8333 0.6665 0.1296
Fe: 0.8333 0.6665 0.3704



Record 2
Diffraction record for Dy2FeHg. The XRD peak list is simulated, not measured: it uses a structure optimized by DFT (PBE) and Cu Ka.
Intensities are scaled so that the largest is 100.

Peak list (9 most intense, 2θ from 5° to 70°, most intense first)
35.5 deg, 2.529 Å, rel. 100
63.7 deg, 1.460 Å, rel. 36
51.1 deg, 1.788 Å, rel. 18
21.5 deg, 4.129 Å, rel. 13
41.9 deg, 2.156 Å, rel. 8
56.0 deg, 1.641 Å, rel. 3
68.1 deg, 1.376 Å, rel. 3
24.9 deg, 3.576 Å, rel. 1
57.6 deg, 1.599 Å, rel. 1

Atomic structure:
a b c (Å): 5.0574 5.0574 5.0574
angles (deg): 60.00 60.00 60.00
Element x y z (fractional)
Dy: 0.2500 0.2500 0.2500
Dy: 0.7500 0.7500 0.7500
Fe: 0.0000 0.0000 0.0000
Hg: 0.5000 0.5000 0.5000



Record 3
Diffraction record for Dy2Ho6Fe. The XRD peak list is simulated, not measured: it uses a structure optimized by DFT (PBE) and Cu Ka.
Intensities are scaled so that the largest is 100.

Peak list (10 most intense, 2θ from 5° to 70°, most intense first)
33.3 deg, 2.690 Å, rel. 100
31.8 deg, 2.815 Å, rel. 72
34.2 deg, 2.622 Å, rel. 71
39.0 deg, 2.310 Å, rel. 44
31.9 deg, 2.802 Å, rel. 44
28.1 deg, 3.173 Å, rel. 42
64.1 deg, 1.452 Å, rel. 32
33.5 deg, 2.672 Å, rel. 26
38.6 deg, 2.335 Å, rel. 22
63.2 deg, 1.471 Å, rel. 20

Atomic structure:
a b c (Å): 9.6136 9.6136 3.4508
angles (deg): 90.00 90.00 122.93
Element x y z (fractional)
Dy: 0.1772 0.8228 0.0000
Dy: 0.8228 0.1772 0.0000
Ho: 0.1691 0.4898 0.5000
Ho: 0.2256 0.2256 0.0000
Ho: 0.4898 0.1691 0.5000
Ho: 0.5102 0.8309 0.5000
Ho: 0.7744 0.7744 0.0000
Ho: 0.8309 0.5102 0.5000
Fe: 0.5000 0.5000 0.5000



Record 4
Diffraction record for Dy5Fe2I2. The XRD peak list is simulated, not measured: it uses a structure optimized by DFT (PBE) and Cu Ka.
Intensities are scaled so that the largest is 100.

Peak list (10 most intense, 2θ from 5° to 70°, most intense first)
31.7 deg, 2.823 Å, rel. 100
37.7 deg, 2.384 Å, rel. 96
31.3 deg, 2.854 Å, rel. 66
33.9 deg, 2.648 Å, rel. 60
37.6 deg, 2.393 Å, rel. 55
58.3 deg, 1.584 Å, rel. 45
62.9 deg, 1.477 Å, rel. 45
26.7 deg, 3.337 Å, rel. 39
10.5 deg, 8.415 Å, rel. 37
26.2 deg, 3.407 Å, rel. 37

Atomic structure:
a b c (Å): 9.2371 9.2371 7.6099
angles (deg): 90.00 90.00 48.72
Element x y z (fractional)
Dy: 0.0000 0.0000 0.0000
Dy: 0.0578 0.7306 0.6632
Dy: 0.2306 0.5578 0.1632
Dy: 0.2694 0.9422 0.6632
Dy: 0.4422 0.7694 0.1632
Dy: 0.5000 0.5000 0.5000
Dy: 0.5578 0.2306 0.8368
Dy: 0.7306 0.0578 0.3368
Dy: 0.7694 0.4422 0.8368
Dy: 0.9422 0.2694 0.3368
Fe: 0.1194 0.8806 0.3821
Fe: 0.3806 0.6194 0.8821
Fe: 0.6194 0.3806 0.1179
Fe: 0.8806 0.1194 0.6179
I: 0.2166 0.2166 0.0000
I: 0.2834 0.2834 0.5000
I: 0.7166 0.7166 0.5000
I: 0.7834 0.7834 0.0000



Record 5
Diffraction record for DyFe3I12. The XRD peak list is simulated, not measured: it uses a structure optimized by DFT (PBE) and Cu Ka.
Intensities are scaled so that the largest is 100.

Peak list (10 most intense, 2θ from 5° to 70°, most intense first)
6.7 deg, 13.281 Å, rel. 100
26.9 deg, 3.320 Å, rel. 71
28.3 deg, 3.150 Å, rel. 65
15.9 deg, 5.566 Å, rel. 30
17.3 deg, 5.134 Å, rel. 25
20.8 deg, 4.266 Å, rel. 24
24.2 deg, 3.683 Å, rel. 24
25.8 deg, 3.457 Å, rel. 22
32.2 deg, 2.783 Å, rel. 22
50.4 deg, 1.811 Å, rel. 20

Atomic structure:
a b c (Å): 15.3354 15.3354 8.0931
angles (deg): 90.00 90.00 120.00
Element x y z (fractional)
Dy: 0.3333 0.6667 0.2500
Dy: 0.6667 0.3333 0.7500
Fe: 0.1277 0.4321 0.7500
Fe: 0.3044 0.8723 0.7500
Fe: 0.4321 0.3044 0.2500
Fe: 0.5679 0.6956 0.7500
Fe: 0.6956 0.1277 0.2500
Fe: 0.8723 0.5679 0.2500
I: 0.0158 0.5065 0.7500
I: 0.0342 0.2445 0.7500
I: 0.2103 0.9658 0.7500
I: 0.2394 0.7551 0.0138
I: 0.2394 0.7551 0.4862
I: 0.2445 0.2103 0.2500
I: 0.2449 0.4843 0.0138
I: 0.2449 0.4843 0.4862
I: 0.4843 0.2394 0.5138
I: 0.4843 0.2394 0.9862
I: 0.4908 0.9842 0.7500
I: 0.4935 0.5092 0.7500
I: 0.5065 0.4908 0.2500
I: 0.5092 0.0158 0.2500
I: 0.5157 0.7606 0.0138
I: 0.5157 0.7606 0.4862
I: 0.7551 0.5157 0.5138
I: 0.7551 0.5157 0.9862
I: 0.7555 0.7897 0.7500
I: 0.7606 0.2449 0.5138
I: 0.7606 0.2449 0.9862
I: 0.7897 0.0342 0.2500
I: 0.9658 0.7555 0.2500
I: 0.9842 0.4935 0.2500



Record 6
Diffraction record for LaDyFe. The XRD peak list is simulated, not measured: it uses a structure optimized by DFT (PBE) and Cu Ka.
Intensities are scaled so that the largest is 100.

Peak list (10 most intense, 2θ from 5° to 70°, most intense first)
33.2 deg, 2.702 Å, rel. 100
26.9 deg, 3.309 Å, rel. 93
37.2 deg, 2.416 Å, rel. 67
43.2 deg, 2.093 Å, rel. 54
46.5 deg, 1.952 Å, rel. 32
64.5 deg, 1.444 Å, rel. 28
61.0 deg, 1.518 Å, rel. 27
53.6 deg, 1.709 Å, rel. 23
68.7 deg, 1.365 Å, rel. 21
55.5 deg, 1.655 Å, rel. 19

Atomic structure:
a b c (Å): 7.0475 7.0475 7.0475
angles (deg): 151.94 151.94 40.10
Element x y z (fractional)
La: 0.0000 0.0000 0.0000
Dy: 0.7533 0.7533 0.0000
Fe: 0.3710 0.3710 0.0000